This entry pairs a crystal structure of Sr2SbO with its computed powder X-ray diffraction pattern. Radiation: copper Kα. Structure: a DFT-relaxed cell (GGA-PBE, Alexandria).
No peak broadening, texture or thermal motion is included.

Main lines, in order of falling intensity (2θ = 10–80°):
27.1 deg, I = 100, hkl 2 0 -2; 28.3 deg, I = 56, hkl 0 2 1; 26.1 deg, I = 49, hkl 1 0 2; 27.9 deg, I = 45, hkl 0 1 3; 36.6 deg, I = 44, hkl 2 1 1; 30.4 deg, I = 40, hkl 2 1 -1; 32.5 deg, I = 38, hkl 2 1 -3; 32.7 deg, I = 37, hkl 0 0 4; 19.9 deg, I = 36, hkl 1 1 0; 35.6 deg, I = 35, hkl 1 2 -3; 33.6 deg, I = 33, hkl 1 2 1; 29.6 deg, I = 33, hkl 1 0 -4

Structure:
```
Sr2SbO
1.0
6.6561 0.0000 0.0000
0.0000 6.5802 0.0000
-5.0285 0.0000 10.9656
Sr Sb O
8 4 4
direct
0.0136 0.2318 0.0730 Sr
0.0136 0.7682 0.5730 Sr
0.2851 0.1739 0.8332 Sr
0.2851 0.8261 0.3332 Sr
0.7149 0.1739 0.6668 Sr
0.7149 0.8261 0.1668 Sr
0.9864 0.2318 0.4270 Sr
0.9864 0.7682 0.9270 Sr
0.4571 0.3403 0.3628 Sb
0.4571 0.6597 0.8628 Sb
0.5429 0.3403 0.1372 Sb
0.5429 0.6597 0.6372 Sb
0.0306 0.1187 0.6246 O
0.0306 0.8813 0.1246 O
0.9694 0.1187 0.8754 O
0.9694 0.8813 0.3754 O
```